Diffraction record for LaTa7O19. The X-ray diffraction stick pattern is computed, not measured: it uses a cell relaxed with PBE and Cu Kα (weighted mean of Kα1 and Kα2).
Neutral-atom scattering factors, no anomalous dispersion.

Principal peaks in the range 15° ≤ 2θ ≤ 90°, in order of falling intensity:
- d 3.113, 28.68°, I = 100
- d 3.366, 26.48°, I = 63
- d 2.484, 36.16°, I = 50
- d 2.673, 33.53°, I = 47
- d 3.007, 29.71°, I = 40
- d 1.600, 57.60°, I = 39

Structural model:
a b c (Å): 6.3007 6.3007 20.1960
angles (deg): 90.00 90.00 120.00
Sites, in units of the cell vectors:
La: 0.0000 0.0000 0.0000
La: 0.0000 0.0000 0.5000
Ta: 0.0257 0.3351 0.1561
Ta: 0.0257 0.3351 0.3439
Ta: 0.0257 0.6906 0.6561
Ta: 0.0257 0.6906 0.8439
Ta: 0.3094 0.3351 0.6561
Ta: 0.3094 0.3351 0.8439
Ta: 0.3094 0.9743 0.1561
Ta: 0.3094 0.9743 0.3439
Ta: 0.3333 0.6667 0.0000
Ta: 0.3333 0.6667 0.5000
Ta: 0.6649 0.6906 0.1561
Ta: 0.6649 0.6906 0.3439
Ta: 0.6649 0.9743 0.6561
Ta: 0.6649 0.9743 0.8439
O: 0.0000 0.0000 0.1328
O: 0.0000 0.0000 0.3672
O: 0.0000 0.0000 0.6328
O: 0.0000 0.0000 0.8672
O: 0.0411 0.2928 0.2500
O: 0.0411 0.7483 0.7500
O: 0.0977 0.3876 0.0572
O: 0.0977 0.3876 0.4428
O: 0.0977 0.7101 0.5572
O: 0.0977 0.7101 0.9428
O: 0.2517 0.2928 0.7500
O: 0.2517 0.9589 0.2500
O: 0.2899 0.3876 0.5572
O: 0.2899 0.3876 0.9428
O: 0.2899 0.9023 0.0572
O: 0.2899 0.9023 0.4428
O: 0.3333 0.6667 0.1674
O: 0.3333 0.6667 0.3326
O: 0.3333 0.6667 0.6674
O: 0.3333 0.6667 0.8326
O: 0.4217 0.0887 0.6534
O: 0.4217 0.0887 0.8466
O: 0.4217 0.3330 0.1534
O: 0.4217 0.3330 0.3466
O: 0.6124 0.7101 0.0572
O: 0.6124 0.7101 0.4428
O: 0.6124 0.9023 0.5572
O: 0.6124 0.9023 0.9428
O: 0.6670 0.0887 0.1534
O: 0.6670 0.0887 0.3466
O: 0.6670 0.5783 0.6534
O: 0.6670 0.5783 0.8466
O: 0.7072 0.7483 0.2500
O: 0.7072 0.9589 0.7500
O: 0.9113 0.3330 0.6534
O: 0.9113 0.3330 0.8466
O: 0.9113 0.5783 0.1534
O: 0.9113 0.5783 0.3466



Diffraction record for NdInPt. The X-ray diffraction stick pattern is computed, not measured: it uses a cell relaxed with PBE and Cu Kα (weighted mean of Kα1 and Kα2).
Neutral-atom scattering factors, no anomalous dispersion.

Principal peaks in the range 15° ≤ 2θ ≤ 90°, in order of falling intensity:
- d 2.593, 34.59°, I = 100
- d 2.813, 31.82°, I = 69
- d 2.233, 40.40°, I = 41
- d 2.154, 41.95°, I = 41
- d 2.531, 35.46°, I = 33
- d 1.439, 64.80°, I = 32

Structural model:
a b c (Å): 7.7339 7.7339 4.0987
angles (deg): 90.00 90.00 120.00
Sites, in units of the cell vectors:
Nd: 0.0000 0.5882 0.0000
Nd: 0.4118 0.4118 0.0000
Nd: 0.5882 0.0000 0.0000
In: 0.0000 0.2511 0.5000
In: 0.2511 0.0000 0.5000
In: 0.7489 0.7489 0.5000
Pt: 0.0000 0.0000 0.0000
Pt: 0.3333 0.6667 0.5000
Pt: 0.6667 0.3333 0.5000



Diffraction record for NdS2. The X-ray diffraction stick pattern is computed, not measured: it uses a cell relaxed with PBE and Cu Kα (weighted mean of Kα1 and Kα2).
Neutral-atom scattering factors, no anomalous dispersion.

Principal peaks in the range 15° ≤ 2θ ≤ 90°, in order of falling intensity:
- d 3.578, 24.88°, I = 100
- d 2.321, 38.81°, I = 69
- d 2.258, 39.93°, I = 46
- d 2.810, 31.85°, I = 41
- d 1.987, 45.67°, I = 31
- d 4.117, 21.59°, I = 29

Structural model:
a b c (Å): 3.9733 3.9733 8.2331
angles (deg): 90.00 90.00 90.00
Sites, in units of the cell vectors:
Nd: 0.2500 0.2500 0.2256
Nd: 0.7500 0.7500 0.7744
S: 0.2500 0.2500 0.8669
S: 0.2500 0.7500 0.5000
S: 0.7500 0.2500 0.5000
S: 0.7500 0.7500 0.1331



Diffraction record for Sr2HoReO6. The X-ray diffraction stick pattern is computed, not measured: it uses a cell relaxed with PBE and Cu Kα (weighted mean of Kα1 and Kα2).
Neutral-atom scattering factors, no anomalous dispersion.

Principal peaks in the range 15° ≤ 2θ ≤ 90°, in order of falling intensity:
- d 2.945, 30.35°, I = 100
- d 1.700, 53.93°, I = 41
- d 2.082, 43.46°, I = 30
- d 1.113, 87.68°, I = 22
- d 4.165, 21.34°, I = 21
- d 1.472, 63.14°, I = 18

Structural model:
a b c (Å): 5.8897 5.8897 5.8897
angles (deg): 60.00 60.00 60.00
Sites, in units of the cell vectors:
Sr: 0.2500 0.2500 0.2500
Sr: 0.7500 0.7500 0.7500
Ho: 0.0000 0.0000 0.0000
Re: 0.5000 0.5000 0.5000
O: 0.2634 0.2634 0.7366
O: 0.2634 0.7366 0.2634
O: 0.2634 0.7366 0.7366
O: 0.7366 0.2634 0.2634
O: 0.7366 0.2634 0.7366
O: 0.7366 0.7366 0.2634



Diffraction record for BaYMg6O8. The X-ray diffraction stick pattern is computed, not measured: it uses a cell relaxed with PBE and Cu Kα (weighted mean of Kα1 and Kα2).
Neutral-atom scattering factors, no anomalous dispersion.

Principal peaks in the range 15° ≤ 2θ ≤ 90°, in order of falling intensity:
- d 2.376, 37.86°, I = 100
- d 4.753, 18.67°, I = 68
- d 2.728, 32.83°, I = 68
- d 1.666, 55.13°, I = 60
- d 3.332, 26.76°, I = 58
- d 2.336, 38.54°, I = 47

Structural model:
a b c (Å): 4.7525 4.7525 9.3438
angles (deg): 90.00 90.00 90.00
Sites, in units of the cell vectors:
Ba: 0.0000 0.0000 0.0000
Y: 0.0000 0.0000 0.5000
Mg: 0.0000 0.5000 0.2497
Mg: 0.0000 0.5000 0.7503
Mg: 0.5000 0.0000 0.2497
Mg: 0.5000 0.0000 0.7503
Mg: 0.5000 0.5000 0.0000
Mg: 0.5000 0.5000 0.5000
O: 0.0000 0.0000 0.2696
O: 0.0000 0.0000 0.7304
O: 0.0000 0.5000 0.0000
O: 0.0000 0.5000 0.5000
O: 0.5000 0.0000 0.0000
O: 0.5000 0.0000 0.5000
O: 0.5000 0.5000 0.2502
O: 0.5000 0.5000 0.7498



Diffraction record for NaNbO3. The X-ray diffraction stick pattern is computed, not measured: it uses a cell relaxed with PBE and Cu Kα (weighted mean of Kα1 and Kα2).
Neutral-atom scattering factors, no anomalous dispersion.

Principal peaks in the range 15° ≤ 2θ ≤ 90°, in order of falling intensity:
- d 2.812, 31.82°, I = 100
- d 3.946, 22.53°, I = 67
- d 4.013, 22.15°, I = 35
- d 1.973, 46.00°, I = 31
- d 1.771, 51.60°, I = 19
- d 1.609, 57.25°, I = 18

Structural model:
a b c (Å): 5.6119 5.5488 8.0262
angles (deg): 90.00 90.00 90.00
Sites, in units of the cell vectors:
Na: 0.0108 0.0031 0.0000
Na: 0.4892 0.5031 0.5000
Na: 0.5108 0.4969 0.0000
Na: 0.9892 0.9969 0.5000
Nb: 0.0127 0.4980 0.7464
Nb: 0.4873 0.9980 0.2464
Nb: 0.5127 0.0020 0.7464
Nb: 0.9873 0.5020 0.2464
O: 0.0096 0.4351 0.5147
O: 0.2065 0.7874 0.7326
O: 0.2263 0.7804 0.2980
O: 0.2737 0.2804 0.7980
O: 0.2935 0.2874 0.2326
O: 0.4904 0.9351 0.0147
O: 0.5096 0.0649 0.5147
O: 0.7065 0.7126 0.7326
O: 0.7263 0.7196 0.2980
O: 0.7737 0.2196 0.7980
O: 0.7935 0.2126 0.2326
O: 0.9904 0.5649 0.0147



Diffraction record for CdGeO3. The X-ray diffraction stick pattern is computed, not measured: it uses a cell relaxed with PBE and Cu Kα (weighted mean of Kα1 and Kα2).
Neutral-atom scattering factors, no anomalous dispersion.

Principal peaks in the range 15° ≤ 2θ ≤ 90°, in order of falling intensity:
- d 2.676, 33.49°, I = 100
- d 1.547, 59.77°, I = 21
- d 1.887, 48.22°, I = 21
- d 2.656, 33.75°, I = 19
- d 1.537, 60.21°, I = 18
- d 1.895, 48.01°, I = 11

Structural model:
a b c (Å): 5.3636 7.5807 5.3119
angles (deg): 90.00 90.00 90.00
Sites, in units of the cell vectors:
Cd: 0.0356 0.2500 0.0083
Cd: 0.4644 0.7500 0.5083
Cd: 0.5356 0.2500 0.4917
Cd: 0.9644 0.7500 0.9917
Ge: 0.0000 0.0000 0.5000
Ge: 0.0000 0.5000 0.5000
Ge: 0.5000 0.0000 0.0000
Ge: 0.5000 0.5000 0.0000
O: 0.0291 0.7500 0.4099
O: 0.2103 0.5477 0.7947
O: 0.2103 0.9523 0.7947
O: 0.2897 0.0477 0.2947
O: 0.2897 0.4523 0.2947
O: 0.4709 0.2500 0.9099
O: 0.5291 0.7500 0.0901
O: 0.7103 0.5477 0.7053
O: 0.7103 0.9523 0.7053
O: 0.7897 0.0477 0.2053
O: 0.7897 0.4523 0.2053
O: 0.9709 0.2500 0.5901



Diffraction record for ErSi2Pd2. The X-ray diffraction stick pattern is computed, not measured: it uses a cell relaxed with PBE and Cu Kα (weighted mean of Kα1 and Kα2).
Neutral-atom scattering factors, no anomalous dispersion.

Principal peaks in the range 15° ≤ 2θ ≤ 90°, in order of falling intensity:
- d 2.522, 35.60°, I = 100
- d 2.066, 43.81°, I = 35
- d 3.818, 23.30°, I = 28
- d 2.591, 34.62°, I = 28
- d 1.264, 75.15°, I = 22
- d 1.591, 57.95°, I = 17

Structural model:
a b c (Å): 5.7816 5.7816 5.7816
angles (deg): 138.12 138.12 60.72
Sites, in units of the cell vectors:
Er: 0.0000 0.0000 0.0000
Si: 0.3845 0.3845 0.0000
Si: 0.6155 0.6155 0.0000
Pd: 0.2500 0.7500 0.5000
Pd: 0.7500 0.2500 0.5000



Diffraction record for KAgO. The X-ray diffraction stick pattern is computed, not measured: it uses a cell relaxed with PBE and Cu Kα (weighted mean of Kα1 and Kα2).
Neutral-atom scattering factors, no anomalous dispersion.

Principal peaks in the range 15° ≤ 2θ ≤ 90°, in order of falling intensity:
- d 2.864, 31.23°, I = 100
- d 4.856, 18.27°, I = 84
- d 2.775, 32.26°, I = 39
- d 2.365, 38.05°, I = 38
- d 1.800, 50.72°, I = 31
- d 1.887, 48.23°, I = 23

Structural model:
a b c (Å): 7.6174 7.6174 7.6174
angles (deg): 97.63 97.63 137.27
Sites, in units of the cell vectors:
K: 0.0000 0.3218 0.3218
K: 0.0000 0.6782 0.6782
K: 0.3218 0.0000 0.3218
K: 0.6782 0.0000 0.6782
Ag: 0.3523 0.3523 0.7047
Ag: 0.3523 0.6477 0.0000
Ag: 0.6477 0.3523 0.0000
Ag: 0.6477 0.6477 0.2953
O: 0.2058 0.5000 0.7058
O: 0.5000 0.2058 0.7058
O: 0.5000 0.7942 0.2942
O: 0.7942 0.5000 0.2942